Calculated X-ray diffraction stick pattern of PrY4Ho3 for copper Kα, from a DFT-relaxed cell (PBE, Alexandria).
Peak positions follow from Bragg's law for the DFT cell and can differ from measured ones.

Largest 6 diffraction maxima, by angle, 10° ≤ 2θ ≤ 90°:
- 2θ = 30.67°, intensity 100, (1 2 0)
- 2θ = 35.53°, intensity 34, (1 0 2)
- 2θ = 35.61°, intensity 17, (0 4 0)
- 2θ = 51.19°, intensity 29, (1 4 2)
- 2θ = 60.76°, intensity 14, (2 2 2)
- 2θ = 60.87°, intensity 21, (1 6 0)

Cell and atoms:
```
data_PrY4Ho3
_cell_length_a 3.578
_cell_length_b 10.084
_cell_length_c 7.136
_cell_angle_alpha 90.00
_cell_angle_beta 90.06
_cell_angle_gamma 90.00
_space_group_name_H-M_alt 'P 1 2/m 1'
_space_group_IT_number 10
loop_
_space_group_symop_operation_xyz
'x,y,z'
'-x,-y,-z'
'-x,y,-z'
'x,-y,z'
loop_
_atom_site_label
_atom_site_fract_x
_atom_site_fract_y
_atom_site_fract_z
Pr1 0.000 0.000 0.000
Y1 0.500 0.253 0.252
Ho1 0.000 0.000 0.500
Ho2 0.000 0.500 0.000
Ho3 0.000 0.500 0.500
```